Theoretical powder diffraction line list of TiCr3Cu2Se8 for Cu Kα (weighted mean of Kα1 and Kα2), from a crystal structure in the Materials Project, relaxed with GGA-PBE.
Peak positions follow from Bragg's law for the DFT cell and can differ from measured ones.

Main lines, low angle first (2θ from 10° to 90°):
28.26°, intensity 23
29.33°, intensity 55
30.50°, intensity 17
34.34°, intensity 100
45.05°, intensity 16
48.58°, intensity 70
50.12°, intensity 62
58.45°, intensity 15
60.84°, intensity 17
72.38°, intensity 19

Atomic structure:
```
TiCr3Cu2Se8
1.0
3.748 2.164 5.862
-3.748 2.164 5.862
0.000 -4.328 5.862
Ti Cr Cu Se
1 3 2 8
Cartesian
0.000 0.000 0.000
-3.748 0.000 8.793
-1.874 1.082 2.931
1.874 1.082 2.931
0.000 0.000 6.615
0.000 0.000 10.972
-1.960 -1.132 10.201
0.000 0.000 4.236
0.000 -2.263 7.386
-1.960 1.132 7.386
1.960 -1.132 10.201
0.000 2.263 10.201
0.000 0.000 13.351
1.960 1.132 7.386
```



Theoretical powder diffraction line list of Ti2Cr4Cu3Se12 for Cu Kα (weighted mean of Kα1 and Kα2), from a crystal structure in the Materials Project, relaxed with GGA-PBE.
Peak positions follow from Bragg's law for the DFT cell and can differ from measured ones.

Main lines, low angle first (2θ from 10° to 90°):
28.14°, intensity 17
28.47°, intensity 16
29.38°, intensity 37
29.80°, intensity 35
34.30°, intensity 100
48.75°, intensity 23
49.29°, intensity 88
49.84°, intensity 21
72.28°, intensity 19
82.49°, intensity 18

Atomic structure:
```
Ti2Cr4Cu3Se12
1.0
5.230 -5.230 0.000
5.230 5.230 0.000
-4.906 0.000 15.682
Ti Cr Cu Se
4 8 6 24
Cartesian
0.260 2.618 13.072
2.842 2.618 10.451
2.713 -2.618 5.231
5.295 -2.618 2.610
0.000 0.000 0.000
-2.453 0.000 7.841
2.615 2.615 0.000
0.216 0.006 10.453
2.669 -0.006 2.612
0.162 -2.615 7.841
2.886 0.006 13.070
5.339 -0.006 5.229
4.004 3.910 3.921
1.444 1.304 6.549
-1.009 -1.304 14.390
6.563 1.304 1.292
4.110 -1.304 9.133
1.551 -3.910 11.762
0.128 0.053 2.536
2.617 2.536 2.533
-2.325 -0.053 10.377
0.264 2.550 10.501
0.248 2.692 15.630
2.529 0.090 0.091
2.854 2.692 7.893
0.076 -0.090 7.932
0.350 0.058 12.993
2.838 2.550 13.022
2.803 -0.058 5.151
5.391 2.536 5.308
0.164 -2.536 10.374
2.752 0.058 10.531
2.717 -2.550 2.660
5.205 -0.058 2.690
5.478 0.090 7.750
2.701 -2.692 7.789
3.025 -0.090 15.591
5.307 -2.692 0.052
5.291 -2.550 5.181
7.880 0.053 5.305
2.938 -2.536 13.149
5.427 -0.053 13.146
```



Theoretical powder diffraction line list of ZnCr8Cu3Se16 for Cu Kα (weighted mean of Kα1 and Kα2), from a crystal structure in the Materials Project, relaxed with GGA-PBE.
Peak positions follow from Bragg's law for the DFT cell and can differ from measured ones.

Main lines, low angle first (2θ from 10° to 90°):
24.11°, intensity 22
28.36°, intensity 50
29.62°, intensity 51
29.74°, intensity 17
34.36°, intensity 100
45.15°, intensity 29
49.31°, intensity 66
49.47°, intensity 65
58.63°, intensity 20
72.43°, intensity 19

Atomic structure:
```
ZnCr8Cu3Se16
1.0
3.696 2.134 12.018
-3.696 2.134 12.018
0.000 -4.268 12.018
Zn Cr Cu Se
1 8 3 16
Cartesian
0.000 0.000 0.000
-1.866 -1.078 14.290
0.000 -2.119 8.246
-1.835 1.060 8.246
0.000 0.000 11.215
1.835 1.060 8.246
1.866 -1.078 14.290
0.000 2.155 14.290
0.000 0.000 29.297
0.000 0.000 4.501
0.000 0.000 18.023
0.000 0.000 22.525
-1.963 -1.133 18.821
0.000 0.000 6.895
0.000 -1.959 12.825
-1.697 0.980 12.825
0.000 -2.265 21.727
-1.962 1.133 21.727
0.000 0.000 15.624
-1.732 -1.000 27.742
1.697 0.980 12.825
0.000 0.000 24.928
1.963 -1.133 18.821
0.000 2.267 18.821
1.732 -1.000 27.742
0.000 2.000 27.742
0.000 0.000 33.603
1.962 1.133 21.727
```